No. 1
Zr3Al2: computed PXRD pattern (Cu Ka), based on DFT lattice parameters and positions (PBE).
Lines closer than 0.1° are merged.

Principal peaks in the range 2θ = 10–90°, by angle:
26.03 deg, intensity 38; 30.41 deg, intensity 37; 33.10 deg, intensity 38; 34.73 deg, intensity 100; 36.72 deg, intensity 99; 37.14 deg, intensity 72; 49.07 deg, intensity 18; 56.07 deg, intensity 21; 57.46 deg, intensity 26; 65.84 deg, intensity 23

Structure:
Lattice parameters (Å, degrees): 7.6554 7.6554 7.0015 90.00 90.00 90.00
Space group P4_2/mnm (No. 136)
Inequivalent atoms, fractional coordinates:
Zr (0.0000, 0.5000, 0.2500)
Zr (0.1567, 0.1567, 0.0000)
Zr (0.1995, 0.1995, 0.5000)
Al (0.1210, 0.8790, 0.2867)



No. 2
Ag5Te4PBr2: computed PXRD pattern (Cu Ka), based on DFT lattice parameters and positions (PBE).
Lines closer than 0.1° are merged.

Principal peaks in the range 2θ = 10–90°, by angle:
25.21 deg, intensity 77; 26.32 deg, intensity 100; 33.34 deg, intensity 19; 37.51 deg, intensity 76; 43.45 deg, intensity 19; 43.71 deg, intensity 27; 44.47 deg, intensity 42; 46.32 deg, intensity 24; 51.13 deg, intensity 21; 65.58 deg, intensity 15

Structure:
Lattice parameters (Å, degrees): 8.2841 12.4952 6.6642 90.00 90.00 90.00
Space group Amm2 (No. 38)
Inequivalent atoms, fractional coordinates:
Ag (0.0000, 0.0000, 0.0000)
Ag (0.2707, 0.1945, 0.4884)
Te (0.2477, 0.0000, 0.2845)
Te (0.5000, 0.1611, 0.8484)
P (0.5000, 0.0000, 0.0812)
Br (0.0000, 0.1706, 0.7321)